For Dy4Ga5Ge6, the PBE geometry in Alexandria gives the calculated PXRD pattern in this record (a wavelength of 1.5418 Å).
Lines closer than 0.1° are merged.

The 10 most intense peaks (10° ≤ 2θ ≤ 90°), in order of falling intensity:
2θ 36.06, I 100.0, hkl 1 5 3
2θ 31.08, I 69.8, hkl 1 1 4
2θ 38.92, I 59.0, hkl 1 5 4
2θ 44.27, I 58.1, hkl 2 0 0
2θ 32.44, I 41.3, hkl 0 0 6
2θ 30.61, I 38.8, hkl 1 3 3
2θ 33.89, I 36.0, hkl 1 5 2
2θ 32.54, I 32.0, hkl 1 5 1
2θ 39.67, I 27.6, hkl 1 1 6
2θ 28.56, I 27.0, hkl 0 4 4

abc: 4.092 19.073 16.563
angles: 90.00 90.00 90.00
Space group Cmc2_1 (No. 36)
Symmetry-distinct sites (fractional):
Dy: 0.000 0.020 0.000 [4 per cell]
Dy: 0.000 0.053 0.284 [4 per cell]
Dy: 0.000 0.163 0.804 [4 per cell]
Dy: 0.000 0.190 0.469 [4 per cell]
Ga: 0.000 0.133 0.137 [4 per cell]
Ga: 0.000 0.300 0.128 [4 per cell]
Ga: 0.000 0.321 0.832 [4 per cell]
Ga: 0.000 0.346 0.437 [4 per cell]
Ga: 0.000 0.438 0.208 [4 per cell]
Ge: 0.000 0.110 0.625 [4 per cell]
Ge: 0.000 0.196 0.006 [4 per cell]
Ge: 0.000 0.218 0.258 [4 per cell]
Ge: 0.000 0.421 0.927 [4 per cell]
Ge: 0.000 0.449 0.633 [4 per cell]
Ge: 0.000 0.455 0.359 [4 per cell]

For ErTmCoRu, the PBE geometry in Alexandria gives the calculated PXRD pattern in this record (a wavelength of 1.5418 Å).
Lines closer than 0.1° are merged.

The 10 most intense peaks (10° ≤ 2θ ≤ 90°), in order of falling intensity:
2θ 38.21, I 100.0, hkl 2 2 0
2θ 69.08, I 34.5, hkl 4 2 2
2θ 55.15, I 17.1, hkl 4 0 0
2θ 26.77, I 14.0, hkl 2 0 0
2θ 81.79, I 10.9, hkl 4 4 0
2θ 62.34, I 5.9, hkl 4 2 0
2θ 47.27, I 4.3, hkl 2 2 2
2θ 87.96, I 3.1, hkl 6 0 0
2θ 23.13, I 1.7, hkl 1 1 1
2θ 45.14, I 0.9, hkl 3 1 1

abc: 6.661 6.661 6.661
angles: 90.00 90.00 90.00
Space group F-43m (No. 216)
Symmetry-distinct sites (fractional):
Er: 0.000 0.000 0.000 [4 per cell]
Tm: 0.000 0.000 0.500 [4 per cell]
Co: 0.250 0.250 0.250 [4 per cell]
Ru: 0.250 0.250 0.750 [4 per cell]